Record 1
Simulated powder diffraction line list
Compound: Ba2Zn7Pt
Radiation: Cu Kα, 1.54184 Å
Structure: a PBE-relaxed structure
Kinematic intensities with the Lorentz-polarization factor, no thermal factor.

Cell and atoms:
a b c (Å): 4.4833 4.4833 11.1036
angles (deg): 90.00 90.00 90.00
Space group P-4m2 (No. 115)
Inequivalent atoms, fractional coordinates:
Ba (0.0000, 0.5000, 0.2450) (multiplicity 2)
Zn (0.0000, 0.0000, 0.0000) (multiplicity 1)
Zn (0.0000, 0.0000, 0.5000) (multiplicity 1)
Zn (0.0000, 0.5000, 0.6262) (multiplicity 2)
Zn (0.0000, 0.5000, 0.8790) (multiplicity 2)
Zn (0.5000, 0.5000, 0.5000) (multiplicity 1)
Pt (0.5000, 0.5000, 0.0000) (multiplicity 1)

Top 10 peaks for 2θ = 10–90°, low angle first:
- 31.34°, I = 588, hkl 1 0 3
- 32.52°, I = 1000, hkl 1 1 2
- 40.23°, I = 577, hkl 2 0 0
- 43.33°, I = 190, hkl 1 1 4
- 45.59°, I = 192, hkl 1 0 5
- 51.86°, I = 279, hkl 2 1 3
- 57.68°, I = 200, hkl 1 1 6
- 58.20°, I = 190, hkl 2 2 0
- 62.40°, I = 148, hkl 2 1 5
- 68.28°, I = 229, hkl 3 1 2



Record 2
Simulated powder diffraction line list
Compound: Ba6Zn2Pt
Radiation: Cu Kα, 1.54184 Å
Structure: a PBE-relaxed structure
Kinematic intensities with the Lorentz-polarization factor, no thermal factor.

Cell and atoms:
a b c (Å): 7.9377 8.8492 14.2042
angles (deg): 90.00 122.97 90.00
Space group P2_1/c (No. 14)
Inequivalent atoms, fractional coordinates:
Ba (0.1008, 0.0378, 0.2444) (multiplicity 4)
Ba (0.2360, 0.6895, 0.0699) (multiplicity 4)
Ba (0.3895, 0.1745, 0.0657) (multiplicity 4)
Zn (0.3079, 0.1154, 0.7533) (multiplicity 4)
Pt (0.0000, 0.0000, 0.0000) (multiplicity 2)

Top 10 peaks for 2θ = 10–90°, low angle first:
- 12.46°, I = 826, hkl 0 1 1
- 24.15°, I = 829, hkl 1 2 0
- 24.58°, I = 670, hkl 2 1 -2
- 25.25°, I = 998, hkl 1 0 -4
- 25.60°, I = 1000, hkl 2 1 -1
- 30.24°, I = 572, hkl 0 2 3
- 32.38°, I = 696, hkl 1 3 -1
- 38.36°, I = 479, hkl 3 1 -1
- 38.85°, I = 453, hkl 3 1 -5
- 44.79°, I = 522, hkl 2 3 -5



Record 3
Simulated powder diffraction line list
Compound: Ba2PuSn3Rh4
Radiation: Cu Kα, 1.54184 Å
Structure: a PBE-relaxed structure
Kinematic intensities with the Lorentz-polarization factor, no thermal factor.

Cell and atoms:
a b c (Å): 4.6429 4.6429 11.2871
angles (deg): 90.00 90.00 90.00
Space group P-4m2 (No. 115)
Inequivalent atoms, fractional coordinates:
Ba (0.0000, 0.5000, 0.2399) (multiplicity 2)
Pu (0.0000, 0.0000, 0.5000) (multiplicity 1)
Sn (0.0000, 0.5000, 0.8804) (multiplicity 2)
Sn (0.5000, 0.5000, 0.5000) (multiplicity 1)
Rh (0.0000, 0.0000, 0.0000) (multiplicity 1)
Rh (0.0000, 0.5000, 0.6341) (multiplicity 2)
Rh (0.5000, 0.5000, 0.0000) (multiplicity 1)

Top 10 peaks for 2θ = 10–90°, low angle first:
- 15.70°, I = 167, hkl 0 0 2
- 30.58°, I = 522, hkl 1 0 3
- 31.53°, I = 1000, hkl 1 1 2
- 38.79°, I = 675, hkl 2 0 0
- 42.23°, I = 375, hkl 1 1 4
- 44.63°, I = 188, hkl 1 0 5
- 50.18°, I = 262, hkl 2 1 3
- 56.02°, I = 233, hkl 2 2 0
- 56.37°, I = 173, hkl 1 1 6
- 65.71°, I = 244, hkl 3 1 2



Record 4
Simulated powder diffraction line list
Compound: BaPuRu
Radiation: Cu Kα, 1.54184 Å
Structure: a PBE-relaxed structure
Kinematic intensities with the Lorentz-polarization factor, no thermal factor.

Cell and atoms:
a b c (Å): 7.6894 4.3443 12.5327
angles (deg): 90.00 101.26 90.00
Space group C2/m (No. 12)
Inequivalent atoms, fractional coordinates:
Ba (0.1053, 0.0000, 0.3313) (multiplicity 4)
Pu (0.1925, 0.5000, 0.0917) (multiplicity 4)
Ru (0.1176, 0.5000, 0.8536) (multiplicity 4)

Top 10 peaks for 2θ = 10–90°, low angle first:
- 24.04°, I = 276, hkl 1 1 -1
- 25.41°, I = 299, hkl 1 1 1
- 26.04°, I = 329, hkl 2 0 1
- 26.53°, I = 622, hkl 1 1 -2
- 29.04°, I = 446, hkl 0 0 4
- 33.86°, I = 1000, hkl 1 1 3
- 36.55°, I = 182, hkl 0 0 5
- 39.64°, I = 175, hkl 1 1 4
- 40.88°, I = 605, hkl 3 1 -1
- 41.55°, I = 416, hkl 0 2 0



Repeat the fourth record exactly.
Simulated powder diffraction line list
Compound: BaPuRu
Radiation: Cu Kα, 1.54184 Å
Structure: a PBE-relaxed structure
Kinematic intensities with the Lorentz-polarization factor, no thermal factor.

Cell and atoms:
a b c (Å): 7.6894 4.3443 12.5327
angles (deg): 90.00 101.26 90.00
Space group C2/m (No. 12)
Inequivalent atoms, fractional coordinates:
Ba (0.1053, 0.0000, 0.3313) (multiplicity 4)
Pu (0.1925, 0.5000, 0.0917) (multiplicity 4)
Ru (0.1176, 0.5000, 0.8536) (multiplicity 4)

Top 10 peaks for 2θ = 10–90°, low angle first:
- 24.04°, I = 276, hkl 1 1 -1
- 25.41°, I = 299, hkl 1 1 1
- 26.04°, I = 329, hkl 2 0 1
- 26.53°, I = 622, hkl 1 1 -2
- 29.04°, I = 446, hkl 0 0 4
- 33.86°, I = 1000, hkl 1 1 3
- 36.55°, I = 182, hkl 0 0 5
- 39.64°, I = 175, hkl 1 1 4
- 40.88°, I = 605, hkl 3 1 -1
- 41.55°, I = 416, hkl 0 2 0